Calculated powder XRD pattern
Compound: NdTmGe2
Radiation: λ = 1.5418 Å (Cu Kα)
Structure: a structure optimized by DFT (PBE)
Kinematic intensities with the Lorentz-polarization factor, no thermal factor.

Main lines, in order of rising 2θ (10 to 90 degrees two-theta):
27.2 deg, 3.277 Å, rel. 100.0
27.7 deg, 3.221 Å, rel. 47.7
30.3 deg, 2.954 Å, rel. 76.2
31.0 deg, 2.881 Å, rel. 50.7
39.2 deg, 2.297 Å, rel. 38.1
41.1 deg, 2.194 Å, rel. 66.2
41.7 deg, 2.164 Å, rel. 45.2
43.9 deg, 2.063 Å, rel. 39.1
52.4 deg, 1.746 Å, rel. 46.4
65.1 deg, 1.433 Å, rel. 17.2

Atomic structure:
abc: 3.2767 6.4751 6.4751
angles: 54.29 90.00 90.00
Fractional positions:
Nd 0.0000 0.0000 0.0000
Tm 0.0000 0.2979 0.2979
Ge 0.0000 0.5381 0.5381
Ge 0.0000 0.7506 0.7506